Record 1
For Pu2Pd5Au4, a cell relaxed with PBE gives the theoretical XRD peak list in this record (Cu Kα (weighted mean of Kα1 and Kα2)).

Structural model:
a = 5.538 Å, b = 8.995 Å, c = 9.054 Å
α = 90.00°, β = 90.00°, γ = 90.00°
Space group Immm (No. 71)
Inequivalent atoms, fractional coordinates:
1 Pu 0.000 0.000 0.205 (multiplicity 4)
2 Pd 0.000 0.500 0.500 (multiplicity 2)
3 Pd 0.249 0.261 0.000 (multiplicity 8)
4 Au 0.000 0.338 0.246 (multiplicity 8)

Main lines, in order of rising 2θ (10 to 80 degrees two-theta):
19.6 deg, intensity 30
34.0 deg, intensity 53
38.1 deg, intensity 80
39.5 deg, intensity 100
39.8 deg, intensity 31
62.5 deg, intensity 24

---

Record 2
For Ca6Sb2AsP, a cell relaxed with PBE gives the theoretical XRD peak list in this record (Cu Kα (weighted mean of Kα1 and Kα2)).

Structural model:
a = 7.494 Å, b = 7.903 Å, c = 13.023 Å
α = 90.00°, β = 125.06°, γ = 90.00°
Space group P2_1/c (No. 14)
Inequivalent atoms, fractional coordinates:
1 Ca 0.130 0.051 0.247 (multiplicity 4)
2 Ca 0.249 0.698 0.060 (multiplicity 4)
3 Ca 0.363 0.192 0.058 (multiplicity 4)
4 Sb 0.271 0.070 0.751 (multiplicity 4)
5 As 0.500 0.000 0.500 (multiplicity 2)
6 P 0.000 0.000 0.000 (multiplicity 2)

Main lines, in order of rising 2θ (10 to 80 degrees two-theta):
18.3 deg, intensity 29
23.4 deg, intensity 100
32.9 deg, intensity 43
33.6 deg, intensity 32
37.1 deg, intensity 41
41.5 deg, intensity 63